(1)
Simulated powder XRD pattern of VSnPd for copper Kα, from DFT lattice parameters and positions (GGA-PBE).
Intensities are scaled so that the largest is 100.

Peak list (8 most intense, 2θ from 5° to 70°, most intense first)
hkl 2 2 0, 2.177 Å, 2θ = 41.48°, intensity 100; hkl 1 1 1, 3.555 Å, 2θ = 25.05°, intensity 54; hkl 3 1 1, 1.857 Å, 2θ = 49.07°, intensity 27; hkl 4 0 0, 1.539 Å, 2θ = 60.11°, intensity 17; hkl 3 3 1, 1.413 Å, 2θ = 66.15°, intensity 11; hkl 2 0 0, 3.079 Å, 2θ = 29.00°, intensity 7; hkl 4 2 0, 1.377 Å, 2θ = 68.10°, intensity 2; hkl 2 2 2, 1.778 Å, 2θ = 51.41°, intensity 2

Structural model:
a = 6.1575 Å, b = 6.1575 Å, c = 6.1575 Å
α = 90.00°, β = 90.00°, γ = 90.00°
Space group F-43m (No. 216)
Symmetry-distinct sites (fractional):
V: 0.0000 0.0000 0.0000 x4
Sn: 0.0000 0.0000 0.5000 x4
Pd: 0.2500 0.2500 0.7500 x4

=====

(2)
Simulated powder XRD pattern of YSnPd for copper Kα, from DFT lattice parameters and positions (GGA-PBE).
Intensities are scaled so that the largest is 100.

Peak list (8 most intense, 2θ from 5° to 70°, most intense first)
hkl 0 1 3, 2.312 Å, 2θ = 38.96°, intensity 100; hkl 2 1 1, 2.692 Å, 2θ = 33.28°, intensity 85; hkl 0 2 0, 2.329 Å, 2θ = 38.66°, intensity 44; hkl 1 1 2, 2.797 Å, 2θ = 32.00°, intensity 35; hkl 2 0 2, 2.684 Å, 2θ = 33.39°, intensity 35; hkl 3 1 4, 1.461 Å, 2θ = 63.67°, intensity 22; hkl 3 2 1, 1.641 Å, 2θ = 56.05°, intensity 20; hkl 2 2 2, 1.759 Å, 2θ = 51.99°, intensity 19

Structural model:
a = 7.2454 Å, b = 4.6577 Å, c = 7.9894 Å
α = 90.00°, β = 90.00°, γ = 90.00°
Space group Pnma (No. 62)
Symmetry-distinct sites (fractional):
Y: 0.0077 0.2500 0.2063 x4
Sn: 0.1950 0.2500 0.5879 x4
Pd: 0.2038 0.7500 0.4165 x4

=====

(3)
Simulated powder XRD pattern of SrPd3 for copper Kα, from DFT lattice parameters and positions (GGA-PBE).
Intensities are scaled so that the largest is 100.

Peak list (8 most intense, 2θ from 5° to 70°, most intense first)
hkl 2 0 1, 2.349 Å, 2θ = 38.33°, intensity 100; hkl 2 0 0, 2.708 Å, 2θ = 33.07°, intensity 25; hkl 0 0 2, 2.358 Å, 2θ = 38.17°, intensity 24; hkl 2 0 3, 1.359 Å, 2θ = 69.10°, intensity 17; hkl 2 2 0, 1.564 Å, 2θ = 59.08°, intensity 16; hkl 2 0 2, 1.778 Å, 2θ = 51.38°, intensity 14; hkl 1 0 0, 5.417 Å, 2θ = 16.36°, intensity 9; hkl 3 0 1, 1.686 Å, 2θ = 54.41°, intensity 5

Structural model:
a = 6.2548 Å, b = 6.2548 Å, c = 4.7152 Å
α = 90.00°, β = 90.00°, γ = 120.00°
Space group P6_3/mmc (No. 194)
Symmetry-distinct sites (fractional):
Sr: 0.3333 0.6667 0.2500 x2
Pd: 0.1499 0.2999 0.7500 x6

=====

(4)
Simulated powder XRD pattern of Sr4Pd for copper Kα, from DFT lattice parameters and positions (GGA-PBE).
Intensities are scaled so that the largest is 100.

Peak list (8 most intense, 2θ from 5° to 70°, most intense first)
hkl 2 2 2, 3.650 Å, 2θ = 24.39°, intensity 100; hkl 4 4 0, 2.235 Å, 2θ = 40.35°, intensity 66; hkl 6 2 2, 1.906 Å, 2θ = 47.71°, intensity 46; hkl 2 2 0, 4.470 Å, 2θ = 19.86°, intensity 25; hkl 4 0 0, 3.161 Å, 2θ = 28.23°, intensity 25; hkl 6 6 2, 1.450 Å, 2θ = 64.22°, intensity 18; hkl 3 3 1, 2.901 Å, 2θ = 30.83°, intensity 16; hkl 1 1 1, 7.300 Å, 2θ = 12.12°, intensity 14

Structural model:
a = 12.6437 Å, b = 12.6437 Å, c = 12.6437 Å
α = 90.00°, β = 90.00°, γ = 90.00°
Space group Fd-3m (No. 227, origin choice 2)
Symmetry-distinct sites (fractional):
Sr: 0.0056 0.0056 0.2444 x32
Pd: 0.1250 0.1250 0.6250 x8

=====

(5)
Simulated powder XRD pattern of SrPd for copper Kα, from DFT lattice parameters and positions (GGA-PBE).
Intensities are scaled so that the largest is 100.

Peak list (8 most intense, 2θ from 5° to 70°, most intense first)
hkl 1 1 1, 3.005 Å, 2θ = 29.73°, intensity 100; hkl 1 3 1, 2.412 Å, 2θ = 37.27°, intensity 92; hkl 0 4 1, 2.422 Å, 2θ = 37.12°, intensity 38; hkl 0 0 2, 2.276 Å, 2θ = 39.61°, intensity 33; hkl 1 3 0, 2.845 Å, 2θ = 31.45°, intensity 32; hkl 2 0 0, 2.135 Å, 2θ = 42.33°, intensity 27; hkl 0 2 0, 5.722 Å, 2θ = 15.49°, intensity 24; hkl 2 4 1, 1.602 Å, 2θ = 57.55°, intensity 21

Structural model:
a = 4.2700 Å, b = 11.4443 Å, c = 4.5510 Å
α = 90.00°, β = 90.00°, γ = 90.00°
Space group Cmcm (No. 63)
Symmetry-distinct sites (fractional):
Sr: 0.0000 0.1389 0.2500 x4
Pd: 0.0000 0.4277 0.2500 x4

=====

(6)
Simulated powder XRD pattern of SrPd5 for copper Kα, from DFT lattice parameters and positions (GGA-PBE).
Intensities are scaled so that the largest is 100.

Peak list (8 most intense, 2θ from 5° to 70°, most intense first)
hkl 1 1 1, 2.329 Å, 2θ = 38.66°, intensity 100; hkl 2 0 1, 2.090 Å, 2θ = 43.30°, intensity 50; hkl 0 0 2, 2.232 Å, 2θ = 40.41°, intensity 34; hkl 1 0 0, 4.729 Å, 2θ = 18.76°, intensity 32; hkl 2 0 0, 2.365 Å, 2θ = 38.06°, intensity 28; hkl 3 0 1, 1.486 Å, 2θ = 62.48°, intensity 24; hkl 2 2 0, 1.365 Å, 2θ = 68.77°, intensity 21; hkl 1 1 0, 2.730 Å, 2θ = 32.80°, intensity 18

Structural model:
a = 5.4606 Å, b = 5.4606 Å, c = 4.4644 Å
α = 90.00°, β = 90.00°, γ = 120.00°
Space group P6/mmm (No. 191)
Symmetry-distinct sites (fractional):
Sr: 0.0000 0.0000 0.0000 x1
Pd: 0.0000 0.5000 0.5000 x3
Pd: 0.3333 0.6667 0.0000 x2

=====

(7)
Simulated powder XRD pattern of Sr2Pd for copper Kα, from DFT lattice parameters and positions (GGA-PBE).
Intensities are scaled so that the largest is 100.

Peak list (8 most intense, 2θ from 5° to 70°, most intense first)
hkl 2 1 1, 3.031 Å, 2θ = 29.47°, intensity 100; hkl 1 1 2, 3.217 Å, 2θ = 27.73°, intensity 78; hkl 0 2 0, 2.478 Å, 2θ = 36.26°, intensity 51; hkl 0 1 3, 2.731 Å, 2θ = 32.79°, intensity 50; hkl 3 0 2, 2.415 Å, 2θ = 37.23°, intensity 32; hkl 2 1 3, 2.283 Å, 2θ = 39.47°, intensity 29; hkl 3 0 1, 2.670 Å, 2θ = 33.56°, intensity 27; hkl 2 1 0, 3.187 Å, 2θ = 28.00°, intensity 27

Structural model:
a = 8.3226 Å, b = 4.9551 Å, c = 9.8200 Å
α = 90.00°, β = 90.00°, γ = 90.00°
Space group Pnma (No. 62)
Symmetry-distinct sites (fractional):
Sr: 0.0211 0.2500 0.1630 x4
Sr: 0.1440 0.2500 0.5736 x4
Pd: 0.2466 0.7500 0.3896 x4

=====

(8)
Simulated powder XRD pattern of Ta3Pd for copper Kα, from DFT lattice parameters and positions (GGA-PBE).
Intensities are scaled so that the largest is 100.

Peak list (8 most intense, 2θ from 5° to 70°, most intense first)
hkl 1 1 2, 2.383 Å, 2θ = 37.76°, intensity 100; hkl 2 0 0, 2.030 Å, 2θ = 44.65°, intensity 31; hkl 2 0 4, 1.472 Å, 2θ = 63.19°, intensity 22; hkl 0 0 4, 2.137 Å, 2θ = 42.30°, intensity 18; hkl 2 2 0, 1.435 Å, 2θ = 64.99°, intensity 10; hkl 1 0 1, 3.667 Å, 2θ = 24.27°, intensity 4; hkl 0 0 2, 4.274 Å, 2θ = 20.79°, intensity 1; hkl 1 0 3, 2.332 Å, 2θ = 38.61°, intensity 1

Structural model:
a = 4.0591 Å, b = 4.0591 Å, c = 8.5472 Å
α = 90.00°, β = 90.00°, γ = 90.00°
Space group I4/mmm (No. 139)
Symmetry-distinct sites (fractional):
Ta: 0.0000 0.0000 0.0000 x2
Ta: 0.0000 0.5000 0.2500 x4
Pd: 0.0000 0.0000 0.5000 x2

=====

(9)
Simulated powder XRD pattern of Ta4Te16Pd3 for copper Kα, from DFT lattice parameters and positions (GGA-PBE).
Intensities are scaled so that the largest is 100.

Peak list (8 most intense, 2θ from 5° to 70°, most intense first)
hkl 2 0 1, 6.843 Å, 2θ = 12.94°, intensity 100; hkl 5 1 -2, 2.865 Å, 2θ = 31.22°, intensity 49; hkl 5 1 -1, 2.818 Å, 2θ = 31.75°, intensity 45; hkl 3 1 5, 2.032 Å, 2θ = 44.59°, intensity 36; hkl 1 1 4, 2.589 Å, 2θ = 34.65°, intensity 31; hkl 0 2 0, 1.894 Å, 2θ = 48.03°, intensity 27; hkl 4 0 -6, 3.010 Å, 2θ = 29.68°, intensity 22; hkl 1 1 -4, 2.846 Å, 2θ = 31.43°, intensity 17

Structural model:
a = 21.8971 Å, b = 3.7886 Å, c = 18.1078 Å
α = 90.00°, β = 119.11°, γ = 90.00°
Space group C2/m (No. 12)
Symmetry-distinct sites (fractional):
Ta: 0.0828 0.0000 0.3489 x4
Ta: 0.2082 0.0000 0.0829 x4
Te: 0.0175 0.5000 0.7652 x4
Te: 0.0385 0.0000 0.6212 x4
Te: 0.0772 0.0000 0.1845 x4
Te: 0.1015 0.5000 0.0179 x4
Te: 0.1210 0.5000 0.4817 x4
Te: 0.1862 0.5000 0.3650 x4
Te: 0.1924 0.0000 0.9116 x4
Te: 0.2253 0.5000 0.7481 x4
Pd: 0.0000 0.5000 0.5000 x2
Pd: 0.1710 0.5000 0.1924 x4